No. 1
Starting from a structure optimized by DFT (PBE), the powder diffractogram of NaLiBiF6 was simulated for a wavelength of 1.5418 Å.
Neutral-atom scattering factors, no anomalous dispersion.

Atomic structure:
```
NaLiBiF6
1.0
5.551 0.000 0.000
-2.776 4.808 0.000
0.000 0.000 9.935
Na Li Bi F
2 2 2 12
Cartesian
0.000 0.000 0.000
0.000 0.000 4.968
0.000 3.205 2.484
2.776 1.603 7.452
0.000 3.205 7.452
2.776 1.603 2.484
-0.933 1.730 1.343
-1.744 3.135 3.625
0.933 1.730 3.625
-0.811 4.751 1.343
1.965 0.057 6.311
1.032 1.673 8.592
1.744 3.135 1.343
0.811 4.751 3.625
3.587 0.057 8.592
1.843 3.078 6.311
4.520 1.673 6.311
3.709 3.078 8.592
```

Peak list (8 most intense, 10 to 90 degrees two-theta, most intense first)
hkl  2θ/deg  I_rel
1 0 1  20.5  100.0
1 0 2  25.8  35.2
1 0 3  32.8  34.5
1 1 2  37.1  33.6
0 0 2  17.9  32.7
1 1 4  49.2  29.8
2 0 1  38.5  23.4
3 -1 1  51.1  20.6



No. 2
Starting from a structure optimized by DFT (PBE), the powder diffractogram of MgBi3F was simulated for a wavelength of 1.5418 Å.
Neutral-atom scattering factors, no anomalous dispersion.

Atomic structure:
```
MgBi3F
1.0
5.115 0.000 0.000
0.000 5.115 0.000
0.000 0.000 5.115
Mg Bi F
1 3 1
Cartesian
0.000 0.000 0.000
0.000 2.557 2.557
2.557 0.000 2.557
2.557 2.557 0.000
2.557 2.557 2.557
```

Peak list (8 most intense, 10 to 90 degrees two-theta, most intense first)
hkl  2θ/deg  I_rel
1 1 1  30.3  100.0
2 0 0  35.1  58.0
3 1 1  60.0  45.7
2 2 0  50.5  42.1
1 0 0  17.3  28.9
4 2 0  84.8  20.0
3 3 1  82.1  19.7
1 1 0  24.6  16.1



> Number 1 is which compound?

NaLiBiF6